Calculated powder diffraction line list of Mg6TiMo for Cu Kα (λ = 1.5418 Å), from a PBE-relaxed structure.
No peak broadening, texture or thermal motion is included.

Atomic structure:
```
data_Mg6TiMo
_chemical_formula_sum 'Mg12 Ti2 Mo2'
_cell_length_a 4.7746
_cell_length_b 6.0194
_cell_length_c 11.0822
_cell_angle_alpha 90.00
_cell_angle_beta 90.00
_cell_angle_gamma 90.00
_symmetry_space_group_name_H-M 'A m m 2'
_symmetry_Int_Tables_number 38
loop_
_symmetry_equiv_pos_as_xyz
'x,y,z'
'-x,-y,z'
'-x,y,z'
'x,-y,z'
'x,y+1/2,z+1/2'
'-x,-y+1/2,z+1/2'
'-x,y+1/2,z+1/2'
'x,-y+1/2,z+1/2'
loop_
_atom_site_label
_atom_site_fract_x
_atom_site_fract_y
_atom_site_fract_z
_atom_site_occupancy
Mg1 0.0000 0.0000 0.0000 1
Mg2 0.0000 0.2411 0.2459 1
Mg3 0.5000 0.0000 0.8429 1
Mg4 0.5000 0.2433 0.5946 1
Ti1 0.0000 0.0000 0.4704 1
Mo1 0.5000 0.0000 0.3698 1
```

Most intense lines, 10° ≤ 2θ ≤ 90°, sorted by position:
2θ = 15.99°, rel. 42; 2θ = 16.76°, rel. 86; 2θ = 33.89°, rel. 68; 2θ = 37.53°, rel. 96; 2θ = 37.68°, rel. 53; 2θ = 38.93°, rel. 100

***

Calculated powder diffraction line list of Mg6TiMo for Cu Kα (λ = 1.5418 Å), from a PBE-relaxed structure.
No peak broadening, texture or thermal motion is included.

Atomic structure:
```
data_Mg6TiMo
_chemical_formula_sum 'Mg12 Ti2 Mo2'
_cell_length_a 4.9767
_cell_length_b 5.7821
_cell_length_c 11.0883
_cell_angle_alpha 90.00
_cell_angle_beta 90.00
_cell_angle_gamma 90.00
_symmetry_space_group_name_H-M 'A m m 2'
_symmetry_Int_Tables_number 38
loop_
_symmetry_equiv_pos_as_xyz
'x,y,z'
'-x,-y,z'
'-x,y,z'
'x,-y,z'
'x,y+1/2,z+1/2'
'-x,-y+1/2,z+1/2'
'-x,y+1/2,z+1/2'
'x,-y+1/2,z+1/2'
loop_
_atom_site_label
_atom_site_fract_x
_atom_site_fract_y
_atom_site_fract_z
_atom_site_occupancy
Mg1 0.0000 0.0000 0.0000 1
Mg2 0.0000 0.0000 0.4952 1
Mg3 0.0000 0.2432 0.2649 1
Mg4 0.5000 0.2494 0.1022 1
Ti1 0.5000 0.0000 0.8497 1
Mo1 0.5000 0.0000 0.3524 1
```

Most intense lines, 10° ≤ 2θ ≤ 90°, sorted by position:
2θ = 15.99°, rel. 43; 2θ = 17.82°, rel. 27; 2θ = 35.00°, rel. 39; 2θ = 36.10°, rel. 46; 2θ = 37.12°, rel. 73; 2θ = 39.54°, rel. 100

***

Calculated powder diffraction line list of Mg14VMo for Cu Kα (λ = 1.5418 Å), from a PBE-relaxed structure.
No peak broadening, texture or thermal motion is included.

Atomic structure:
```
data_Mg14VMo
_chemical_formula_sum 'Mg14 V1 Mo1'
_cell_length_a 6.2658
_cell_length_b 6.2658
_cell_length_c 9.9364
_cell_angle_alpha 90.00
_cell_angle_beta 90.00
_cell_angle_gamma 120.00
_symmetry_space_group_name_H-M 'P -6 m 2'
_symmetry_Int_Tables_number 187
_symmetry_space_group_name_Hall 'P -6 2'
loop_
_atom_site_label
_atom_site_fract_x
_atom_site_fract_y
_atom_site_fract_z
_atom_site_occupancy
Mg1 0.0000 0.0000 0.2502 1
Mg2 0.0148 0.5074 0.2467 1
Mg3 0.3355 0.1677 0.5000 1
Mg4 0.3357 0.1678 0.0000 1
V1 0.3333 0.6667 0.5000 1
Mo1 0.3333 0.6667 0.0000 1
```

Most intense lines, 10° ≤ 2θ ≤ 90°, sorted by position:
2θ = 16.34°, rel. 24; 2θ = 33.01°, rel. 27; 2θ = 36.16°, rel. 25; 2θ = 37.78°, rel. 100; 2θ = 66.10°, rel. 18; 2θ = 71.16°, rel. 18

***

Calculated powder diffraction line list of Mg14VMo for Cu Kα (λ = 1.5418 Å), from a PBE-relaxed structure.
No peak broadening, texture or thermal motion is included.

Atomic structure:
```
data_Mg14VMo
_chemical_formula_sum 'Mg28 V2 Mo2'
_cell_length_a 9.9837
_cell_length_b 6.0529
_cell_length_c 10.9953
_cell_angle_alpha 90.00
_cell_angle_beta 90.00
_cell_angle_gamma 90.00
_symmetry_space_group_name_H-M 'A m m 2'
_symmetry_Int_Tables_number 38
loop_
_symmetry_equiv_pos_as_xyz
'x,y,z'
'-x,-y,z'
'-x,y,z'
'x,-y,z'
'x,y+1/2,z+1/2'
'-x,-y+1/2,z+1/2'
'-x,y+1/2,z+1/2'
'x,-y+1/2,z+1/2'
loop_
_atom_site_label
_atom_site_fract_x
_atom_site_fract_y
_atom_site_fract_z
_atom_site_occupancy
Mg1 0.0000 0.0000 0.9995 1
Mg2 0.0000 0.0000 0.5000 1
Mg3 0.0000 0.2504 0.2515 1
Mg4 0.2568 0.0000 0.1580 1
Mg5 0.2592 0.0000 0.6582 1
Mg6 0.2648 0.2491 0.4199 1
Mg7 0.5000 0.2492 0.2519 1
V1 0.5000 0.0000 0.0038 1
Mo1 0.5000 0.0000 0.5056 1
```

Most intense lines, 10° ≤ 2θ ≤ 90°, sorted by position:
2θ = 33.81°, rel. 35; 2θ = 35.98°, rel. 40; 2θ = 37.35°, rel. 60; 2θ = 38.45°, rel. 100; 2θ = 50.20°, rel. 19; 2θ = 71.01°, rel. 19

***

Calculated powder diffraction line list of Mg6MoW for Cu Kα (λ = 1.5418 Å), from a PBE-relaxed structure.
No peak broadening, texture or thermal motion is included.

Atomic structure:
```
data_Mg6MoW
_chemical_formula_sum 'Mg12 Mo2 W2'
_cell_length_a 4.7426
_cell_length_b 5.9562
_cell_length_c 10.8798
_cell_angle_alpha 90.00
_cell_angle_beta 90.00
_cell_angle_gamma 90.00
_symmetry_space_group_name_H-M 'A m m 2'
_symmetry_Int_Tables_number 38
loop_
_symmetry_equiv_pos_as_xyz
'x,y,z'
'-x,-y,z'
'-x,y,z'
'x,-y,z'
'x,y+1/2,z+1/2'
'-x,-y+1/2,z+1/2'
'-x,y+1/2,z+1/2'
'x,-y+1/2,z+1/2'
loop_
_atom_site_label
_atom_site_fract_x
_atom_site_fract_y
_atom_site_fract_z
_atom_site_occupancy
Mg1 0.0000 0.0000 0.0000 1
Mg2 0.0000 0.2407 0.2461 1
Mg3 0.5000 0.0000 0.8391 1
Mg4 0.5000 0.2416 0.5940 1
Mo1 0.0000 0.0000 0.4792 1
W1 0.5000 0.0000 0.3587 1
```

Most intense lines, 10° ≤ 2θ ≤ 90°, sorted by position:
2θ = 16.29°, rel. 37; 2θ = 16.97°, rel. 100; 2θ = 34.33°, rel. 33; 2θ = 34.59°, rel. 31; 2θ = 38.14°, rel. 50; 2θ = 39.38°, rel. 54

***

Calculated powder diffraction line list of Mg14MoW for Cu Kα (λ = 1.5418 Å), from a PBE-relaxed structure.
No peak broadening, texture or thermal motion is included.

Atomic structure:
```
data_Mg14MoW
_chemical_formula_sum 'Mg14 Mo1 W1'
_cell_length_a 6.2103
_cell_length_b 6.2103
_cell_length_c 9.8618
_cell_angle_alpha 90.00
_cell_angle_beta 90.00
_cell_angle_gamma 120.00
_symmetry_space_group_name_H-M 'P -6 m 2'
_symmetry_Int_Tables_number 187
_symmetry_space_group_name_Hall 'P -6 2'
loop_
_atom_site_label
_atom_site_fract_x
_atom_site_fract_y
_atom_site_fract_z
_atom_site_occupancy
Mg1 0.0000 0.0000 0.2496 1
Mg2 0.0192 0.5096 0.2488 1
Mg3 0.3358 0.1679 0.0000 1
Mg4 0.3360 0.1680 0.5000 1
Mo1 0.3333 0.6667 0.5000 1
W1 0.3333 0.6667 0.0000 1
```

Most intense lines, 10° ≤ 2θ ≤ 90°, sorted by position:
2θ = 16.48°, rel. 71; 2θ = 24.49°, rel. 46; 2θ = 33.32°, rel. 32; 2θ = 34.12°, rel. 22; 2θ = 36.44°, rel. 24; 2θ = 38.12°, rel. 100

***

Calculated powder diffraction line list of Mg6MoW for Cu Kα (λ = 1.5418 Å), from a PBE-relaxed structure.
No peak broadening, texture or thermal motion is included.

Atomic structure:
```
data_Mg6MoW
_chemical_formula_sum 'Mg12 Mo2 W2'
_cell_length_a 4.9048
_cell_length_b 5.7173
_cell_length_c 10.8518
_cell_angle_alpha 90.00
_cell_angle_beta 90.00
_cell_angle_gamma 90.00
_symmetry_space_group_name_H-M 'A m m 2'
_symmetry_Int_Tables_number 38
loop_
_symmetry_equiv_pos_as_xyz
'x,y,z'
'-x,-y,z'
'-x,y,z'
'x,-y,z'
'x,y+1/2,z+1/2'
'-x,-y+1/2,z+1/2'
'-x,y+1/2,z+1/2'
'x,-y+1/2,z+1/2'
loop_
_atom_site_label
_atom_site_fract_x
_atom_site_fract_y
_atom_site_fract_z
_atom_site_occupancy
Mg1 0.0000 0.0000 0.0000 1
Mg2 0.0000 0.0000 0.5000 1
Mg3 0.0000 0.2503 0.2697 1
Mg4 0.5000 0.2500 0.1063 1
Mo1 0.5000 0.0000 0.3569 1
W1 0.5000 0.0000 0.8562 1
```

Most intense lines, 10° ≤ 2θ ≤ 90°, sorted by position:
2θ = 16.34°, rel. 94; 2θ = 18.09°, rel. 67; 2θ = 24.46°, rel. 59; 2θ = 35.49°, rel. 47; 2θ = 37.90°, rel. 69; 2θ = 40.11°, rel. 100

***

Calculated powder diffraction line list of Mg14MoW for Cu Kα (λ = 1.5418 Å), from a PBE-relaxed structure.
No peak broadening, texture or thermal motion is included.

Atomic structure:
```
data_Mg14MoW
_chemical_formula_sum 'Mg28 Mo2 W2'
_cell_length_a 9.9730
_cell_length_b 6.0246
_cell_length_c 10.9668
_cell_angle_alpha 90.00
_cell_angle_beta 90.00
_cell_angle_gamma 90.00
_symmetry_space_group_name_H-M 'A m m 2'
_symmetry_Int_Tables_number 38
loop_
_symmetry_equiv_pos_as_xyz
'x,y,z'
'-x,-y,z'
'-x,y,z'
'x,-y,z'
'x,y+1/2,z+1/2'
'-x,-y+1/2,z+1/2'
'-x,y+1/2,z+1/2'
'x,-y+1/2,z+1/2'
loop_
_atom_site_label
_atom_site_fract_x
_atom_site_fract_y
_atom_site_fract_z
_atom_site_occupancy
Mg1 0.0000 0.0000 0.9999 1
Mg2 0.0000 0.0000 0.5000 1
Mg3 0.0000 0.2500 0.2516 1
Mg4 0.2574 0.0000 0.1575 1
Mg5 0.2575 0.0000 0.6575 1
Mg6 0.2639 0.2497 0.4201 1
Mg7 0.5000 0.2502 0.2523 1
Mo1 0.5000 0.0000 0.0059 1
W1 0.5000 0.0000 0.5063 1
```

Most intense lines, 10° ≤ 2θ ≤ 90°, sorted by position:
2θ = 16.16°, rel. 42; 2θ = 18.46°, rel. 56; 2θ = 33.96°, rel. 37; 2θ = 36.02°, rel. 40; 2θ = 37.43°, rel. 61; 2θ = 38.59°, rel. 100

***

Calculated powder diffraction line list of Mg6ZnMo for Cu Kα (λ = 1.5418 Å), from a PBE-relaxed structure.
No peak broadening, texture or thermal motion is included.

Atomic structure:
```
data_Mg6ZnMo
_chemical_formula_sum 'Mg12 Zn2 Mo2'
_cell_length_a 4.8470
_cell_length_b 6.0359
_cell_length_c 10.6801
_cell_angle_alpha 90.00
_cell_angle_beta 90.00
_cell_angle_gamma 90.00
_symmetry_space_group_name_H-M 'A m m 2'
_symmetry_Int_Tables_number 38
loop_
_symmetry_equiv_pos_as_xyz
'x,y,z'
'-x,-y,z'
'-x,y,z'
'x,-y,z'
'x,y+1/2,z+1/2'
'-x,-y+1/2,z+1/2'
'-x,y+1/2,z+1/2'
'x,-y+1/2,z+1/2'
loop_
_atom_site_label
_atom_site_fract_x
_atom_site_fract_y
_atom_site_fract_z
_atom_site_occupancy
Mg1 0.0000 0.0000 0.0000 1
Mg2 0.0000 0.0000 0.4956 1
Mg3 0.0000 0.2412 0.2593 1
Mg4 0.5000 0.2476 0.5907 1
Zn1 0.5000 0.0000 0.8377 1
Mo1 0.5000 0.0000 0.3415 1
```

Most intense lines, 10° ≤ 2θ ≤ 90°, sorted by position:
2θ = 16.60°, rel. 41; 2θ = 18.30°, rel. 29; 2θ = 34.13°, rel. 35; 2θ = 37.10°, rel. 38; 2θ = 38.49°, rel. 55; 2θ = 38.99°, rel. 100

***

Calculated powder diffraction line list of Mg6ZnMo for Cu Kα (λ = 1.5418 Å), from a PBE-relaxed structure.
No peak broadening, texture or thermal motion is included.

Atomic structure:
```
data_Mg6ZnMo
_chemical_formula_sum 'Mg12 Zn2 Mo2'
_cell_length_a 4.8204
_cell_length_b 6.1732
_cell_length_c 10.6060
_cell_angle_alpha 90.00
_cell_angle_beta 90.00
_cell_angle_gamma 90.00
_symmetry_space_group_name_H-M 'A m m 2'
_symmetry_Int_Tables_number 38
loop_
_symmetry_equiv_pos_as_xyz
'x,y,z'
'-x,-y,z'
'-x,y,z'
'x,-y,z'
'x,y+1/2,z+1/2'
'-x,-y+1/2,z+1/2'
'-x,y+1/2,z+1/2'
'x,-y+1/2,z+1/2'
loop_
_atom_site_label
_atom_site_fract_x
_atom_site_fract_y
_atom_site_fract_z
_atom_site_occupancy
Mg1 0.0000 0.0000 0.0000 1
Mg2 0.0000 0.2355 0.2573 1
Mg3 0.5000 0.0000 0.8322 1
Mg4 0.5000 0.2427 0.5824 1
Zn1 0.0000 0.0000 0.4848 1
Mo1 0.5000 0.0000 0.3364 1
```

Most intense lines, 10° ≤ 2θ ≤ 90°, sorted by position:
2θ = 16.62°, rel. 69; 2θ = 24.94°, rel. 28; 2θ = 33.60°, rel. 30; 2θ = 37.31°, rel. 39; 2θ = 38.57°, rel. 100; 2θ = 38.76°, rel. 55

***

Calculated powder diffraction line list of Mg6ZrMo for Cu Kα (λ = 1.5418 Å), from a PBE-relaxed structure.
No peak broadening, texture or thermal motion is included.

Atomic structure:
```
data_Mg6ZrMo
_chemical_formula_sum 'Mg12 Zr2 Mo2'
_cell_length_a 4.9231
_cell_length_b 6.1247
_cell_length_c 11.1566
_cell_angle_alpha 90.00
_cell_angle_beta 90.00
_cell_angle_gamma 90.00
_symmetry_space_group_name_H-M 'A m m 2'
_symmetry_Int_Tables_number 38
loop_
_symmetry_equiv_pos_as_xyz
'x,y,z'
'-x,-y,z'
'-x,y,z'
'x,-y,z'
'x,y+1/2,z+1/2'
'-x,-y+1/2,z+1/2'
'-x,y+1/2,z+1/2'
'x,-y+1/2,z+1/2'
loop_
_atom_site_label
_atom_site_fract_x
_atom_site_fract_y
_atom_site_fract_z
_atom_site_occupancy
Mg1 0.0000 0.0000 0.0000 1
Mg2 0.0000 0.2436 0.2417 1
Mg3 0.5000 0.0000 0.8435 1
Mg4 0.5000 0.2469 0.5969 1
Zr1 0.0000 0.0000 0.4714 1
Mo1 0.5000 0.0000 0.3701 1
```

Most intense lines, 10° ≤ 2θ ≤ 90°, sorted by position:
2θ = 15.89°, rel. 41; 2θ = 16.51°, rel. 100; 2θ = 33.38°, rel. 56; 2θ = 36.50°, rel. 43; 2θ = 37.04°, rel. 76; 2θ = 38.19°, rel. 72

***

Calculated powder diffraction line list of Mg6ZrMo for Cu Kα (λ = 1.5418 Å), from a PBE-relaxed structure.
No peak broadening, texture or thermal motion is included.

Atomic structure:
```
data_Mg6ZrMo
_chemical_formula_sum 'Mg12 Zr2 Mo2'
_cell_length_a 5.0525
_cell_length_b 5.8401
_cell_length_c 11.3113
_cell_angle_alpha 90.00
_cell_angle_beta 90.00
_cell_angle_gamma 90.00
_symmetry_space_group_name_H-M 'A m m 2'
_symmetry_Int_Tables_number 38
loop_
_symmetry_equiv_pos_as_xyz
'x,y,z'
'-x,-y,z'
'-x,y,z'
'x,-y,z'
'x,y+1/2,z+1/2'
'-x,-y+1/2,z+1/2'
'-x,y+1/2,z+1/2'
'x,-y+1/2,z+1/2'
loop_
_atom_site_label
_atom_site_fract_x
_atom_site_fract_y
_atom_site_fract_z
_atom_site_occupancy
Mg1 0.0000 0.0000 0.0000 1
Mg2 0.0000 0.0000 0.4856 1
Mg3 0.0000 0.2421 0.2586 1
Mg4 0.5000 0.2495 0.0981 1
Zr1 0.5000 0.0000 0.8479 1
Mo1 0.5000 0.0000 0.3448 1
```

Most intense lines, 10° ≤ 2θ ≤ 90°, sorted by position:
2θ = 15.67°, rel. 57; 2θ = 17.55°, rel. 38; 2θ = 34.57°, rel. 37; 2θ = 35.53°, rel. 53; 2θ = 36.41°, rel. 65; 2θ = 39.03°, rel. 100